(1)
The following is a calculated PXRD pattern of Cu4P2O9. It was derived from a PBE-relaxed structure, using Cu Kα.
Peak positions follow from Bragg's law for the DFT cell and can differ from measured ones.

Main lines, in order of falling intensity (15° ≤ 2θ ≤ 90°):
d [Å]  2theta  I/Imax  index
3.409  26.1  100  0 0 4
2.890  30.9  91  0 2 2
2.724  32.9  91  1 2 2
2.487  36.1  81  1 2 3
3.145  28.4  78  1 0 4
2.666  33.6  70  3 0 1
1.851  49.2  68  0 2 6
5.230  17.0  58  1 0 2
2.821  31.7  54  1 1 4
1.420  65.7  50  5 2 2

Atomic structure:
abc: 8.155 6.381 13.634
angles: 90.00 90.00 90.00
Space group Pnma (No. 62)
Inequivalent atoms, fractional coordinates:
Cu: 0.063 0.250 0.088
Cu: 0.145 0.750 0.448
Cu: 0.147 0.007 0.657
P: 0.003 0.750 0.157
P: 0.150 0.250 0.415
O: 0.085 0.047 0.363
O: 0.090 0.250 0.524
O: 0.097 0.250 0.745
O: 0.112 0.550 0.151
O: 0.118 0.250 0.930
O: 0.165 0.750 0.910
O: 0.202 0.750 0.594


(2)
The following is a calculated PXRD pattern of Cu5P2O10. It was derived from a PBE-relaxed structure, using Cu Kα.
Peak positions follow from Bragg's law for the DFT cell and can differ from measured ones.

Main lines, in order of falling intensity (15° ≤ 2θ ≤ 90°):
d [Å]  2theta  I/Imax  index
3.085  28.9  100  1 0 -2
3.992  22.3  96  1 1 1
2.649  33.8  95  2 1 0
2.666  33.6  78  1 -1 1
3.033  29.5  64  1 1 2
4.424  20.1  59  0 1 1
2.552  35.2  57  0 0 3
2.314  38.9  45  1 2 2
2.402  37.4  43  1 2 -1
1.622  56.8  42  0 2 4

Atomic structure:
abc: 5.342 5.364 7.730
angles: 82.35 89.20 67.57
Space group P-1 (No. 2)
Inequivalent atoms, fractional coordinates:
Cu: 0.000 0.000 0.000
Cu: 0.116 0.750 0.639
Cu: 0.285 0.377 0.052
P: 0.448 0.842 0.287
O: 0.047 0.682 0.885
O: 0.191 0.902 0.399
O: 0.307 0.380 0.615
O: 0.374 0.751 0.113
O: 0.493 0.897 0.763


(3)
The following is a calculated PXRD pattern of Cu3P4Pb3O16. It was derived from a PBE-relaxed structure, using Cu Kα.
Peak positions follow from Bragg's law for the DFT cell and can differ from measured ones.

Main lines, in order of falling intensity (15° ≤ 2θ ≤ 90°):
d [Å]  2theta  I/Imax  index
2.900  30.8  100  3 1 -5
4.424  20.1  90  1 1 1
4.772  18.6  89  2 0 2
2.882  31.0  84  5 1 -3
2.683  33.4  71  3 1 3
2.962  30.2  46  6 0 -2
2.496  36.0  40  0 2 0
4.745  18.7  35  1 1 -1
3.003  29.8  34  2 0 -6
1.749  52.3  33  9 1 -1

Atomic structure:
abc: 17.903 4.992 18.129
angles: 90.00 116.01 90.00
Space group C2/c (No. 15)
Inequivalent atoms, fractional coordinates:
Cu: 0.225 0.221 0.353
Cu: 0.250 0.250 0.000
P: 0.135 0.244 0.470
P: 0.151 0.274 0.738
Pb: 0.000 0.212 0.250
Pb: 0.107 0.196 0.095
O: 0.054 0.168 0.473
O: 0.066 0.132 0.708
O: 0.132 0.182 0.385
O: 0.140 0.418 0.242
O: 0.156 0.457 0.995
O: 0.177 0.214 0.667
O: 0.207 0.065 0.537
O: 0.217 0.173 0.822


(4)
The following is a calculated PXRD pattern of CuP2PbO7. It was derived from a PBE-relaxed structure, using Cu Kα.
Peak positions follow from Bragg's law for the DFT cell and can differ from measured ones.

Main lines, in order of falling intensity (15° ≤ 2θ ≤ 90°):
d [Å]  2theta  I/Imax  index
3.387  26.3  100  1 0 2
3.317  26.9  91  1 2 -1
2.961  30.2  65  0 2 3
2.769  32.3  58  2 0 -2
3.096  28.8  53  1 1 -4
2.928  30.5  41  1 2 -3
2.033  44.6  35  2 2 1
2.625  34.2  33  2 1 -2
3.202  27.9  32  1 2 -2
2.951  30.3  31  1 2 1

Atomic structure:
abc: 5.538 8.283 13.774
angles: 90.00 112.83 90.00
Space group P2_1/c (No. 14)
Inequivalent atoms, fractional coordinates:
Cu: 0.172 0.144 0.387
P: 0.094 0.537 0.339
P: 0.167 0.695 0.988
Pb: 0.486 0.669 0.777
O: 0.023 0.139 0.849
O: 0.116 0.164 0.520
O: 0.159 0.122 0.237
O: 0.173 0.617 0.453
O: 0.220 0.594 0.903
O: 0.325 0.558 0.305
O: 0.381 0.683 0.097


(5)
The following is a calculated PXRD pattern of CuPPb2SO9. It was derived from a PBE-relaxed structure, using Cu Kα.
Peak positions follow from Bragg's law for the DFT cell and can differ from measured ones.

Main lines, in order of falling intensity (15° ≤ 2θ ≤ 90°):
d [Å]  2theta  I/Imax  index
3.364  26.5  100  2 1 -1
4.673  19.0  69  0 1 1
2.712  33.0  46  2 1 1
2.317  38.9  41  2 2 0
2.888  31.0  31  0 2 0
2.847  31.4  31  1 0 -3
2.735  32.7  28  1 1 2
2.987  29.9  27  2 1 -2
3.669  24.3  25  1 1 1
4.137  21.5  25  2 0 -1

Atomic structure:
abc: 8.345 5.777 8.543
angles: 90.00 111.54 90.00
Space group P2_1/m (No. 11)
Inequivalent atoms, fractional coordinates:
Cu: 0.000 0.000 0.000
P: 0.029 0.250 0.334
Pb: 0.274 0.750 0.375
Pb: 0.287 0.250 0.757
S: 0.453 0.250 0.176
O: 0.006 0.524 0.780
O: 0.094 0.750 0.573
O: 0.141 0.750 0.072
O: 0.222 0.250 0.448
O: 0.266 0.250 0.070
O: 0.443 0.750 0.931
O: 0.496 0.039 0.290